The following is a simulated powder XRD pattern of La4PmHo10. It was derived from the GGA-PBE geometry in Alexandria, using a wavelength of 1.5418 Å.
Kinematic intensities with the Lorentz-polarization factor, no thermal factor.

Top 10 peaks for 15° ≤ 2θ ≤ 90°, in order of rising 2θ:
2θ = 26.48°, d = 3.367 Å, rel. 82; 2θ = 28.71°, d = 3.109 Å, rel. 75; 2θ = 28.98°, d = 3.081 Å, rel. 100; 2θ = 32.32°, d = 2.770 Å, rel. 80; 2θ = 33.52°, d = 2.674 Å, rel. 82; 2θ = 34.21°, d = 2.621 Å, rel. 42; 2θ = 38.21°, d = 2.355 Å, rel. 27; 2θ = 41.45°, d = 2.179 Å, rel. 30; 2θ = 41.85°, d = 2.158 Å, rel. 32; 2θ = 44.89°, d = 2.019 Å, rel. 35

```
La4PmHo10
1.0
-4.871 4.871 5.381
4.871 -4.871 5.381
4.871 4.871 -5.381
La Pm Ho
4 1 10
Direct
0.065 0.665 0.730
0.335 0.065 0.400
0.665 0.935 0.600
0.935 0.335 0.270
0.000 0.000 0.000
0.132 0.226 0.676
0.226 0.550 0.093
0.250 0.750 0.500
0.450 0.544 0.676
0.456 0.132 0.907
0.544 0.868 0.093
0.550 0.456 0.324
0.750 0.250 0.500
0.774 0.450 0.907
0.868 0.774 0.324
```

The following is a simulated powder XRD pattern of CoRuCS. It was derived from the GGA-PBE geometry in Alexandria, using a wavelength of 1.5418 Å.
Kinematic intensities with the Lorentz-polarization factor, no thermal factor.

Top 10 peaks for 15° ≤ 2θ ≤ 90°, in order of rising 2θ:
2θ = 15.49°, d = 5.719 Å, rel. 25; 2θ = 31.28°, d = 2.860 Å, rel. 19; 2θ = 32.18°, d = 2.782 Å, rel. 48; 2θ = 35.90°, d = 2.502 Å, rel. 100; 2θ = 45.49°, d = 1.994 Å, rel. 52; 2θ = 57.37°, d = 1.606 Å, rel. 32; 2θ = 58.71°, d = 1.573 Å, rel. 26; 2θ = 66.80°, d = 1.400 Å, rel. 12; 2θ = 69.56°, d = 1.352 Å, rel. 14; 2θ = 77.75°, d = 1.228 Å, rel. 15

```
CoRuCS
1.0
3.212 0.000 0.000
-1.606 2.782 0.000
0.000 0.000 5.719
Co Ru C S
1 1 1 1
Direct
0.000 0.000 0.000
0.333 0.667 0.391
0.333 0.667 0.047
0.000 0.000 0.622
```

The following is a simulated powder XRD pattern of LaDyHfN3. It was derived from the GGA-PBE geometry in Alexandria, using a wavelength of 1.5418 Å.
Kinematic intensities with the Lorentz-polarization factor, no thermal factor.

Top 10 peaks for 15° ≤ 2θ ≤ 90°, in order of rising 2θ:
2θ = 15.61°, d = 5.677 Å, rel. 86; 2θ = 26.78°, d = 3.329 Å, rel. 37; 2θ = 27.70°, d = 3.221 Å, rel. 37; 2θ = 29.74°, d = 3.004 Å, rel. 54; 2θ = 31.08°, d = 2.878 Å, rel. 60; 2θ = 31.35°, d = 2.853 Å, rel. 58; 2θ = 31.52°, d = 2.838 Å, rel. 43; 2θ = 31.97°, d = 2.799 Å, rel. 100; 2θ = 37.73°, d = 2.384 Å, rel. 99; 2θ = 58.44°, d = 1.579 Å, rel. 33

```
LaDyHfN3
1.0
6.672 0.000 0.000
0.000 3.416 0.000
-0.636 0.000 9.771
La Dy Hf N
2 2 2 6
Direct
0.178 0.250 0.223
0.822 0.750 0.777
0.351 0.750 0.882
0.649 0.250 0.118
0.170 0.250 0.579
0.830 0.750 0.421
0.138 0.250 0.788
0.151 0.750 0.453
0.377 0.750 0.114
0.623 0.250 0.886
0.849 0.250 0.547
0.862 0.750 0.212
```

The following is a simulated powder XRD pattern of PaGe2PdO8. It was derived from the GGA-PBE geometry in Alexandria, using a wavelength of 1.5418 Å.
Kinematic intensities with the Lorentz-polarization factor, no thermal factor.

Top 10 peaks for 15° ≤ 2θ ≤ 90°, in order of rising 2θ:
2θ = 18.53°, d = 4.789 Å, rel. 41; 2θ = 26.03°, d = 3.423 Å, rel. 100; 2θ = 32.49°, d = 2.756 Å, rel. 91; 2θ = 37.15°, d = 2.420 Å, rel. 24; 2θ = 50.17°, d = 1.818 Å, rel. 67; 2θ = 53.55°, d = 1.711 Å, rel. 16; 2θ = 60.49°, d = 1.531 Å, rel. 15; 2θ = 61.62°, d = 1.505 Å, rel. 17; 2θ = 64.05°, d = 1.454 Å, rel. 19; 2θ = 76.43°, d = 1.246 Å, rel. 15

```
PaGe2PdO8
1.0
-3.423 3.423 3.352
3.423 -3.423 3.352
3.423 3.423 -3.352
Pa Ge Pd O
1 2 1 8
Direct
0.000 0.000 0.000
0.500 0.500 0.000
0.750 0.250 0.500
0.250 0.750 0.500
0.308 0.123 0.814
0.308 0.494 0.186
0.385 0.079 0.307
0.506 0.692 0.814
0.772 0.079 0.693
0.877 0.692 0.186
0.921 0.228 0.307
0.921 0.615 0.693
```

The following is a simulated powder XRD pattern of Ti7NbTl2. It was derived from the GGA-PBE geometry in Alexandria, using a wavelength of 1.5418 Å.
Kinematic intensities with the Lorentz-polarization factor, no thermal factor.

Top 10 peaks for 15° ≤ 2θ ≤ 90°, in order of rising 2θ:
2θ = 18.67°, d = 4.753 Å, rel. 13; 2θ = 26.52°, d = 3.361 Å, rel. 100; 2θ = 32.63°, d = 2.744 Å, rel. 58; 2θ = 37.86°, d = 2.376 Å, rel. 67; 2θ = 46.82°, d = 1.940 Å, rel. 44; 2θ = 54.62°, d = 1.680 Å, rel. 45; 2θ = 61.72°, d = 1.503 Å, rel. 20; 2θ = 65.09°, d = 1.433 Å, rel. 22; 2θ = 68.37°, d = 1.372 Å, rel. 15; 2θ = 74.73°, d = 1.270 Å, rel. 23

```
Ti7NbTl2
1.0
0.000 4.753 4.753
4.753 0.000 4.753
4.753 4.753 0.000
Ti Nb Tl
7 1 2
Direct
0.000 0.000 0.000
0.246 0.246 0.754
0.246 0.754 0.246
0.246 0.754 0.754
0.754 0.246 0.246
0.754 0.246 0.754
0.754 0.754 0.246
0.500 0.500 0.500
0.250 0.250 0.250
0.750 0.750 0.750
```

The following is a simulated powder XRD pattern of Al2AgTe4Au. It was derived from the GGA-PBE geometry in Alexandria, using a wavelength of 1.5418 Å.
Kinematic intensities with the Lorentz-polarization factor, no thermal factor.

Top 10 peaks for 15° ≤ 2θ ≤ 90°, in order of rising 2θ:
2θ = 20.28°, d = 4.380 Å, rel. 13; 2θ = 24.51°, d = 3.632 Å, rel. 100; 2θ = 32.01°, d = 2.796 Å, rel. 11; 2θ = 40.22°, d = 2.242 Å, rel. 52; 2θ = 41.22°, d = 2.190 Å, rel. 25; 2θ = 46.78°, d = 1.942 Å, rel. 17; 2θ = 48.54°, d = 1.875 Å, rel. 31; 2θ = 64.09°, d = 1.453 Å, rel. 13; 2θ = 72.43°, d = 1.305 Å, rel. 9; 2θ = 74.46°, d = 1.274 Å, rel. 17

```
Al2AgTe4Au
1.0
0.000 4.380 6.499
4.380 0.000 6.499
4.380 4.380 0.000
Al Ag Te Au
2 1 4 1
Direct
0.000 0.000 0.500
0.500 0.500 0.000
0.250 0.250 0.750
0.129 0.633 0.871
0.371 0.868 0.132
0.633 0.129 0.367
0.868 0.371 0.629
0.750 0.750 0.250
```

The following is a simulated powder XRD pattern of Li2AcPdPt. It was derived from the GGA-PBE geometry in Alexandria, using a wavelength of 1.5418 Å.
Kinematic intensities with the Lorentz-polarization factor, no thermal factor.

Top 10 peaks for 15° ≤ 2θ ≤ 90°, in order of rising 2θ:
2θ = 15.15°, d = 5.849 Å, rel. 74; 2θ = 23.22°, d = 3.831 Å, rel. 18; 2θ = 29.82°, d = 2.996 Å, rel. 29; 2θ = 30.52°, d = 2.929 Å, rel. 36; 2θ = 33.61°, d = 2.667 Å, rel. 100; 2θ = 40.57°, d = 2.224 Å, rel. 20; 2θ = 43.23°, d = 2.093 Å, rel. 23; 2θ = 43.72°, d = 2.071 Å, rel. 20; 2θ = 44.71°, d = 2.027 Å, rel. 25; 2θ = 61.95°, d = 1.498 Å, rel. 19

```
Li2AcPdPt
1.0
4.055 0.000 0.000
0.000 4.447 0.000
0.000 0.000 11.698
Li Ac Pd Pt
4 2 2 2
Direct
0.000 0.000 0.000
0.000 0.500 0.132
0.500 0.000 0.632
0.500 0.500 0.500
0.000 0.500 0.784
0.500 0.000 0.284
0.000 0.000 0.499
0.500 0.500 0.999
0.000 0.500 0.348
0.500 0.000 0.848
```

The following is a simulated powder XRD pattern of LiIn4Rh3. It was derived from the GGA-PBE geometry in Alexandria, using a wavelength of 1.5418 Å.
Kinematic intensities with the Lorentz-polarization factor, no thermal factor.

Top 10 peaks for 15° ≤ 2θ ≤ 90°, in order of rising 2θ:
2θ = 20.75°, d = 4.281 Å, rel. 8; 2θ = 27.94°, d = 3.193 Å, rel. 4; 2θ = 38.90°, d = 2.315 Å, rel. 100; 2θ = 39.93°, d = 2.258 Å, rel. 46; 2θ = 54.61°, d = 1.681 Å, rel. 9; 2θ = 57.74°, d = 1.597 Å, rel. 15; 2θ = 69.76°, d = 1.348 Å, rel. 17; 2θ = 71.83°, d = 1.314 Å, rel. 31; 2θ = 83.52°, d = 1.158 Å, rel. 10; 2θ = 86.14°, d = 1.129 Å, rel. 5

```
LiIn4Rh3
1.0
4.516 0.000 0.000
0.000 4.516 0.000
0.000 0.000 13.445
Li In Rh
2 8 6
Direct
0.000 0.000 0.000
0.500 0.500 0.500
0.000 0.500 0.126
0.000 0.500 0.374
0.000 0.500 0.626
0.000 0.500 0.874
0.500 0.000 0.126
0.500 0.000 0.374
0.500 0.000 0.626
0.500 0.000 0.874
0.000 0.000 0.251
0.000 0.000 0.500
0.000 0.000 0.749
0.500 0.500 0.000
0.500 0.500 0.249
0.500 0.500 0.751
```

The following is a simulated powder XRD pattern of GdDy2Th. It was derived from the GGA-PBE geometry in Alexandria, using a wavelength of 1.5418 Å.
Kinematic intensities with the Lorentz-polarization factor, no thermal factor.

Top 10 peaks for 15° ≤ 2θ ≤ 90°, in order of rising 2θ:
2θ = 30.78°, d = 2.905 Å, rel. 100; 2θ = 35.55°, d = 2.525 Å, rel. 34; 2θ = 35.97°, d = 2.497 Å, rel. 17; 2θ = 51.16°, d = 1.786 Å, rel. 12; 2θ = 51.47°, d = 1.775 Å, rel. 24; 2θ = 60.90°, d = 1.521 Å, rel. 29; 2θ = 61.46°, d = 1.509 Å, rel. 14; 2θ = 64.12°, d = 1.452 Å, rel. 13; 2θ = 83.48°, d = 1.158 Å, rel. 6; 2θ = 83.97°, d = 1.152 Å, rel. 12

```
GdDy2Th
1.0
5.050 0.000 0.000
0.000 5.050 0.000
0.000 0.000 4.994
Gd Dy Th
1 2 1
Direct
0.000 0.000 0.000
0.000 0.500 0.500
0.500 0.000 0.500
0.500 0.500 0.000
```

The following is a simulated powder XRD pattern of Pr2ScTe3. It was derived from the GGA-PBE geometry in Alexandria, using a wavelength of 1.5418 Å.
Kinematic intensities with the Lorentz-polarization factor, no thermal factor.

Top 10 peaks for 15° ≤ 2θ ≤ 90°, in order of rising 2θ:
2θ = 27.36°, d = 3.260 Å, rel. 97; 2θ = 29.30°, d = 3.049 Å, rel. 60; 2θ = 31.17°, d = 2.869 Å, rel. 60; 2θ = 33.47°, d = 2.678 Å, rel. 69; 2θ = 33.97°, d = 2.639 Å, rel. 38; 2θ = 34.52°, d = 2.599 Å, rel. 100; 2θ = 41.95°, d = 2.154 Å, rel. 38; 2θ = 44.08°, d = 2.054 Å, rel. 32; 2θ = 46.38°, d = 1.958 Å, rel. 39; 2θ = 56.46°, d = 1.630 Å, rel. 30

```
Pr2ScTe3
1.0
4.109 0.000 0.000
0.000 5.355 0.000
0.000 0.000 17.215
Pr Sc Te
4 2 6
Direct
0.000 0.000 0.143
0.000 0.000 0.857
0.500 0.500 0.357
0.500 0.500 0.643
0.000 0.000 0.500
0.500 0.500 0.000
0.000 0.000 0.330
0.000 0.000 0.670
0.000 0.500 0.500
0.500 0.000 0.000
0.500 0.500 0.170
0.500 0.500 0.830
```

The following is a simulated powder XRD pattern of AsPb2Cl2O3. It was derived from the GGA-PBE geometry in Alexandria, using a wavelength of 1.5418 Å.
Kinematic intensities with the Lorentz-polarization factor, no thermal factor.

Top 10 peaks for 15° ≤ 2θ ≤ 90°, in order of rising 2θ:
2θ = 23.18°, d = 3.836 Å, rel. 66; 2θ = 27.04°, d = 3.298 Å, rel. 100; 2θ = 30.57°, d = 2.924 Å, rel. 21; 2θ = 30.96°, d = 2.888 Å, rel. 46; 2θ = 32.64°, d = 2.743 Å, rel. 62; 2θ = 33.77°, d = 2.654 Å, rel. 24; 2θ = 34.97°, d = 2.566 Å, rel. 37; 2θ = 44.07°, d = 2.055 Å, rel. 23; 2θ = 47.39°, d = 1.918 Å, rel. 30; 2θ = 54.26°, d = 1.691 Å, rel. 22

```
AsPb2Cl2O3
1.0
7.159 0.000 0.000
0.000 5.776 0.000
-1.374 0.000 8.773
As Pb Cl O
2 4 4 6
Direct
0.237 0.250 0.253
0.763 0.750 0.747
0.073 0.250 0.651
0.198 0.750 0.973
0.802 0.250 0.027
0.927 0.750 0.349
0.229 0.750 0.632
0.366 0.250 0.906
0.634 0.750 0.094
0.771 0.250 0.368
0.090 0.011 0.176
0.090 0.489 0.176
0.245 0.250 0.447
0.755 0.750 0.553
0.910 0.511 0.824
0.910 0.989 0.824
```

The following is a simulated powder XRD pattern of LiAlZn4Cu2. It was derived from the GGA-PBE geometry in Alexandria, using a wavelength of 1.5418 Å.
Kinematic intensities with the Lorentz-polarization factor, no thermal factor.

Top 10 peaks for 15° ≤ 2θ ≤ 90°, in order of rising 2θ:
2θ = 16.18°, d = 5.477 Å, rel. 95; 2θ = 24.38°, d = 3.651 Å, rel. 24; 2θ = 37.64°, d = 2.390 Å, rel. 52; 2θ = 40.35°, d = 2.235 Å, rel. 100; 2θ = 41.21°, d = 2.191 Å, rel. 36; 2θ = 42.07°, d = 2.148 Å, rel. 24; 2θ = 44.56°, d = 2.034 Å, rel. 46; 2θ = 49.97°, d = 1.825 Å, rel. 34; 2θ = 52.88°, d = 1.731 Å, rel. 48; 2θ = 69.16°, d = 1.358 Å, rel. 28

```
LiAlZn4Cu2
1.0
3.463 0.000 0.000
0.000 3.463 0.000
0.000 0.000 10.954
Li Al Zn Cu
1 1 4 2
Direct
0.000 0.000 0.000
0.000 0.000 0.500
0.000 0.500 0.210
0.000 0.500 0.790
0.500 0.000 0.210
0.500 0.000 0.790
0.500 0.500 0.390
0.500 0.500 0.610
```

The following is a simulated powder XRD pattern of NdFe2PN4. It was derived from the GGA-PBE geometry in Alexandria, using a wavelength of 1.5418 Å.
Kinematic intensities with the Lorentz-polarization factor, no thermal factor.

Top 10 peaks for 15° ≤ 2θ ≤ 90°, in order of rising 2θ:
2θ = 21.71°, d = 4.094 Å, rel. 42; 2θ = 33.80°, d = 2.652 Å, rel. 50; 2θ = 36.80°, d = 2.442 Å, rel. 100; 2θ = 40.53°, d = 2.226 Å, rel. 28; 2θ = 45.61°, d = 1.989 Å, rel. 12; 2θ = 48.55°, d = 1.875 Å, rel. 25; 2θ = 62.43°, d = 1.487 Å, rel. 42; 2θ = 68.16°, d = 1.376 Å, rel. 17; 2θ = 78.29°, d = 1.221 Å, rel. 10; 2θ = 81.08°, d = 1.186 Å, rel. 10

```
NdFe2PN4
1.0
5.304 0.000 0.000
0.000 5.304 0.000
0.000 0.000 6.437
Nd Fe P N
2 4 2 8
Direct
0.000 0.000 0.000
0.500 0.500 0.500
0.000 0.500 0.250
0.000 0.500 0.750
0.500 0.000 0.250
0.500 0.000 0.750
0.000 0.000 0.500
0.500 0.500 0.000
0.179 0.179 0.654
0.179 0.821 0.346
0.321 0.321 0.154
0.321 0.679 0.846
0.679 0.321 0.846
0.679 0.679 0.154
0.821 0.179 0.346
0.821 0.821 0.654
```

The following is a simulated powder XRD pattern of Hf2InH2. It was derived from the GGA-PBE geometry in Alexandria, using a wavelength of 1.5418 Å.
Kinematic intensities with the Lorentz-polarization factor, no thermal factor.

Top 10 peaks for 15° ≤ 2θ ≤ 90°, in order of rising 2θ:
2θ = 33.42°, d = 2.681 Å, rel. 64; 2θ = 36.74°, d = 2.447 Å, rel. 100; 2θ = 47.99°, d = 1.896 Å, rel. 24; 2θ = 57.56°, d = 1.601 Å, rel. 7; 2θ = 61.92°, d = 1.499 Å, rel. 44; 2θ = 68.22°, d = 1.375 Å, rel. 16; 2θ = 70.21°, d = 1.341 Å, rel. 8; 2θ = 78.13°, d = 1.223 Å, rel. 11; 2θ = 80.03°, d = 1.199 Å, rel. 10; 2θ = 81.95°, d = 1.176 Å, rel. 10

```
Hf2InH2
1.0
3.792 0.000 0.000
0.000 3.792 0.000
0.000 0.000 9.607
Hf In H
4 2 4
Direct
0.000 0.000 0.167
0.000 0.000 0.833
0.500 0.500 0.333
0.500 0.500 0.667
0.000 0.000 0.500
0.500 0.500 0.000
0.000 0.500 0.250
0.000 0.500 0.750
0.500 0.000 0.250
0.500 0.000 0.750
```